Diffraction record for TmMg2Cd9. The X-ray diffraction stick pattern is computed, not measured: it uses DFT lattice parameters and positions (PBE) and a wavelength of 1.5418 Å.
Lines closer than 0.1° are merged.

abc: 9.2421 9.2421 9.2421
angles: 100.03 100.03 130.67
Fractional coordinates of all 24 atoms:
1 Tm 0.3750 0.6250 0.7500
2 Tm 0.6250 0.3750 0.2500
3 Mg 0.0000 0.0000 0.0000
4 Mg 0.0000 0.0000 0.5000
5 Mg 0.0000 0.5000 0.0000
6 Mg 0.5000 0.0000 0.5000
7 Cd 0.1213 0.5504 0.3302
8 Cd 0.1213 0.7910 0.5709
9 Cd 0.1250 0.8750 0.2500
10 Cd 0.2090 0.2798 0.3302
11 Cd 0.2090 0.8787 0.9291
12 Cd 0.2798 0.2090 0.8302
13 Cd 0.2798 0.4496 0.0709
14 Cd 0.4496 0.2798 0.5709
15 Cd 0.4496 0.8787 0.1698
16 Cd 0.5504 0.1213 0.8302
17 Cd 0.5504 0.7202 0.4291
18 Cd 0.7202 0.5504 0.9291
19 Cd 0.7202 0.7910 0.1698
20 Cd 0.7910 0.1213 0.0709
21 Cd 0.7910 0.7202 0.6698
22 Cd 0.8750 0.1250 0.7500
23 Cd 0.8787 0.2090 0.4291
24 Cd 0.8787 0.4496 0.6698

Main lines, in order of rising 2θ (2θ = 10–80°):
25.3°, I = 11
29.5°, I = 16
33.3°, I = 100
33.7°, I = 62
35.7°, I = 20
38.9°, I = 13
39.7°, I = 53
50.6°, I = 18
60.1°, I = 31
66.8°, I = 11

Diffraction record for NaTi6O12. The X-ray diffraction stick pattern is computed, not measured: it uses DFT lattice parameters and positions (PBE) and a wavelength of 1.5418 Å.
Lines closer than 0.1° are merged.

abc: 8.9649 9.4496 5.3276
angles: 90.00 90.00 90.00
Fractional coordinates of all 38 atoms:
1 Na 0.0000 0.2188 0.0000
2 Na 0.5000 0.7812 0.5000
3 Ti 0.0000 0.4063 0.4316
4 Ti 0.0000 0.8830 0.9986
5 Ti 0.1692 0.1035 0.4884
6 Ti 0.1697 0.6108 0.9208
7 Ti 0.3303 0.3892 0.4208
8 Ti 0.3308 0.8965 0.9884
9 Ti 0.5000 0.1170 0.4986
10 Ti 0.5000 0.5937 0.9316
11 Ti 0.6692 0.8965 0.9884
12 Ti 0.6697 0.3892 0.4208
13 Ti 0.8303 0.6108 0.9208
14 Ti 0.8308 0.1035 0.4884
15 O 0.0000 0.0229 0.2754
16 O 0.0000 0.2157 0.6131
17 O 0.0000 0.5157 0.1269
18 O 0.0000 0.7113 0.7790
19 O 0.1637 0.9845 0.7917
20 O 0.1665 0.4789 0.6309
21 O 0.1685 0.7869 0.1409
22 O 0.1705 0.2869 0.2731
23 O 0.3295 0.7131 0.7731
24 O 0.3315 0.2131 0.6409
25 O 0.3335 0.5211 0.1309
26 O 0.3363 0.0155 0.2917
27 O 0.5000 0.2887 0.2790
28 O 0.5000 0.4843 0.6269
29 O 0.5000 0.7843 0.1131
30 O 0.5000 0.9771 0.7754
31 O 0.6637 0.0155 0.2917
32 O 0.6665 0.5211 0.1309
33 O 0.6685 0.2131 0.6409
34 O 0.6705 0.7131 0.7731
35 O 0.8295 0.2869 0.2731
36 O 0.8315 0.7869 0.1409
37 O 0.8335 0.4789 0.6309
38 O 0.8363 0.9845 0.7917

Main lines, in order of rising 2θ (2θ = 10–80°):
19.1°, I = 100
33.0°, I = 37
35.5°, I = 19
35.7°, I = 26
39.5°, I = 20
45.2°, I = 10
49.7°, I = 26
51.7°, I = 12
60.5°, I = 17
61.5°, I = 14

Diffraction record for Cd2AgAu. The X-ray diffraction stick pattern is computed, not measured: it uses DFT lattice parameters and positions (PBE) and a wavelength of 1.5418 Å.
Lines closer than 0.1° are merged.

abc: 4.7898 6.6993 4.8323
angles: 90.00 90.00 90.00
Fractional coordinates of all 8 atoms:
1 Cd 0.2500 0.0000 0.2164
2 Cd 0.2500 0.5000 0.2164
3 Cd 0.7500 0.0000 0.7836
4 Cd 0.7500 0.5000 0.7836
5 Ag 0.2500 0.2500 0.7105
6 Ag 0.7500 0.7500 0.2895
7 Au 0.2500 0.7500 0.7118
8 Au 0.7500 0.2500 0.2882

Main lines, in order of rising 2θ (2θ = 10–80°):
37.2°, I = 22
37.6°, I = 27
37.7°, I = 100
41.9°, I = 8
53.9°, I = 15
54.8°, I = 9
67.4°, I = 11
67.9°, I = 17
68.1°, I = 7
68.3°, I = 9

Diffraction record for Zr5Os3. The X-ray diffraction stick pattern is computed, not measured: it uses DFT lattice parameters and positions (PBE) and a wavelength of 1.5418 Å.
Lines closer than 0.1° are merged.

abc: 7.6535 7.6535 3.0628
angles: 90.00 90.00 120.00
Fractional coordinates of all 8 atoms:
1 Zr 0.0000 0.7672 0.0000
2 Zr 0.2328 0.2328 0.0000
3 Zr 0.3333 0.6667 0.0000
4 Zr 0.6667 0.3333 0.0000
5 Zr 0.7672 0.0000 0.0000
6 Os 0.0000 0.3544 0.5000
7 Os 0.3544 0.0000 0.5000
8 Os 0.6456 0.6456 0.5000

Main lines, in order of rising 2θ (2θ = 10–80°):
23.2°, I = 36
35.8°, I = 26
37.6°, I = 100
40.1°, I = 11
40.8°, I = 40
46.9°, I = 10
47.5°, I = 14
56.7°, I = 14
72.3°, I = 32
75.5°, I = 13